# Li3MnCoNiO6
Simulated powder diffractogram, Cu Kα (weighted mean of Kα1 and Kα2). Input: a crystal structure in Alexandria, relaxed with GGA+U.

The 8 most intense peaks (10° ≤ 2θ ≤ 80°), by angle:
2θ/deg  I_rel
18.37  100
35.54  16
36.27  26
42.89  27
44.00  48
47.60  10
62.91  14
63.34  14

Cell and atoms:
Cell lengths 5.038, 5.038, 5.154 Å; angles 100.23, 100.23, 119.01 degrees
Fractional positions:
1 Li 0.000 0.000 0.000
2 Li 0.339 0.661 0.000
3 Li 0.677 0.323 0.000
4 Mn 0.178 0.822 0.500
5 Co 0.844 0.156 0.500
6 Ni 0.506 0.494 0.500
7 O 0.094 0.434 0.262
8 O 0.231 0.213 0.725
9 O 0.432 0.066 0.285
10 O 0.566 0.906 0.738
11 O 0.787 0.769 0.275
12 O 0.934 0.568 0.715